Starting from a structure optimized by DFT (PBE), the powder XRD pattern of SrAc4Pr7 was computed for Cu Kα.
Neutral-atom scattering factors, no anomalous dispersion.

Main lines, by intensity (10° ≤ 2θ ≤ 90°):
29.53 deg, I 100, hkl 2 0 -2
31.18 deg, I 81, hkl -1 2 2
28.61 deg, I 77, hkl 0 0 3
29.68 deg, I 48, hkl 1 2 1
31.00 deg, I 47, hkl 2 0 1
55.95 deg, I 35, hkl 3 2 2

```
data_SrAc4Pr7
_chemical_formula_sum 'Sr1 Ac4 Pr7'
_cell_length_a 6.7186
_cell_length_b 7.6924
_cell_length_c 9.6213
_cell_angle_alpha 90.07
_cell_angle_beta 103.37
_cell_angle_gamma 90.19
_symmetry_space_group_name_H-M 'P -1'
_symmetry_Int_Tables_number 2
loop_
_symmetry_equiv_pos_as_xyz
'x,y,z'
'-x,-y,-z'
loop_
_atom_site_label
_atom_site_type_symbol
_atom_site_fract_x
_atom_site_fract_y
_atom_site_fract_z
Sr1 Sr 0.0000 0.0000 0.0000
Ac1 Ac 0.2197 0.4978 0.6751
Ac2 Ac 0.2863 0.2502 0.3340
Pr1 Pr 0.0000 0.5000 0.0000
Pr2 Pr 0.2253 0.9993 0.6604
Pr3 Pr 0.2834 0.7462 0.3327
Pr4 Pr 0.4963 0.7456 0.0036
```